Computed powder X-ray diffraction pattern
Compound: MgPd6Pt23
Radiation: Cu Kα (weighted mean of Kα1 and Kα2)
Structure: a structure optimized by DFT (PBE)

Crystal structure
a = 7.863 Å, b = 7.863 Å, c = 15.657 Å
α = 90.00°, β = 90.00°, γ = 90.00°
Space group I4/mmm (No. 139)
Symmetry-distinct sites (fractional):
Mg  0.000  0.000  0.000
Pd  0.000  0.000  0.251
Pd  0.247  0.247  0.000
Pt  0.000  0.000  0.500
Pt  0.000  0.254  0.129
Pt  0.000  0.254  0.373
Pt  0.000  0.500  0.000
Pt  0.250  0.250  0.250

Largest 10 diffraction maxima, low angle first, 2θ from 5° to 70°:
hkl 1 1 2, 4.533 Å, 19.58 deg, rel. 3
hkl 0 0 4, 3.914 Å, 22.72 deg, rel. 4
hkl 2 0 2, 3.513 Å, 25.35 deg, rel. 6
hkl 2 2 0, 2.779 Å, 32.21 deg, rel. 5
hkl 2 2 4, 2.267 Å, 39.77 deg, rel. 100
hkl 4 0 0, 1.966 Å, 46.18 deg, rel. 33
hkl 0 0 8, 1.957 Å, 46.40 deg, rel. 16
hkl 4 0 4, 1.757 Å, 52.05 deg, rel. 2
hkl 4 4 0, 1.390 Å, 67.37 deg, rel. 11
hkl 4 0 8, 1.387 Å, 67.54 deg, rel. 21